Structure and simulated X-ray powder pattern of TiIrW2F (a structure optimized by DFT (PBE+U); Cu Kα (λ = 1.5418 Å)).
No peak broadening, texture or thermal motion is included.

Structural model:
abc: 5.1211 5.1211 4.7868
angles: 90.00 90.00 90.00
Space group P4/mmm (No. 123)
Unique sites:
Ti 0.0000 0.0000 0.0000 (multiplicity 1)
Ir 0.0000 0.0000 0.5000 (multiplicity 1)
W 0.0000 0.5000 0.5000 (multiplicity 2)
F 0.5000 0.5000 0.0000 (multiplicity 1)

Main lines, by angle (2θ from 10° to 90°):
2θ/deg	I (rel.)	index
17.32	48	1 0 0
18.54	100	0 0 1
30.97	29	1 1 1
35.04	69	2 0 0
39.93	60	2 0 1
52.32	44	2 0 2